Calculated PXRD pattern of Zn4Te for λ = 1.5418 Å (Cu Kα), from a cell relaxed with GGA-PBE.
Kinematic intensities with the Lorentz-polarization factor, no thermal factor.

Structural model:
Cell: 4.085 4.085 7.648 Å, 105.03 105.03 60.43°
Element x y z (fractional)
Zn1 0.138 0.138 0.413
Zn2 0.258 0.258 0.768
Zn3 0.742 0.742 0.232
Zn4 0.862 0.862 0.587
Te1 0.000 0.000 0.000

Largest 10 diffraction maxima, in order of rising 2θ, 10 to 80 degrees two-theta:
Position (°2θ)  d/Å  intensity
25.38  3.509  100
25.59  3.481  52
29.93  2.986  25
38.27  2.352  70
38.62  2.331  33
41.60  2.171  42
41.75  2.164  85
44.05  2.056  43
44.35  2.042  84
59.99  1.542  27